Record 1
Er3Co4Ge13: calculated XRD peak list (Cu Kα (weighted mean of Kα1 and Kα2)), based on a cell relaxed with PBE.
Neutral-atom scattering factors, no anomalous dispersion.

Crystal structure
Cell lengths 8.764, 8.764, 8.764 Å; angles 90.00, 90.00, 90.00 degrees
Space group Pm-3n (No. 223)
Unique sites:
Er 0.000 0.250 0.500 (multiplicity 6)
Co 0.250 0.250 0.250 (multiplicity 8)
Ge 0.000 0.000 0.000 (multiplicity 2)
Ge 0.000 0.305 0.153 (multiplicity 24)

Largest 12 diffraction maxima, in order of rising 2θ, 10° ≤ 2θ ≤ 80°:
two_theta, I (rel.), h k l
22.7, 15.1, 2 1 0
35.5, 10.0, 2 2 2
37.0, 100.0, 3 2 0
38.4, 38.5, 3 2 1
41.2, 24.2, 4 0 0
42.5, 9.1, 4 1 0
51.1, 8.6, 4 2 2
56.6, 10.0, 4 3 2
61.7, 11.6, 4 3 3
65.7, 14.5, 5 3 2
71.4, 14.4, 6 2 2
79.6, 9.8, 6 4 1

---

Record 2
Sb2S3: calculated XRD peak list (Cu Kα (weighted mean of Kα1 and Kα2)), based on a cell relaxed with PBE.
Neutral-atom scattering factors, no anomalous dispersion.

Crystal structure
Cell lengths 12.134, 3.870, 11.231 Å; angles 90.00, 90.00, 90.00 degrees
Space group Pnma (No. 62)
Unique sites:
Sb 0.034 0.250 0.172 (multiplicity 4)
Sb 0.141 0.750 0.467 (multiplicity 4)
S 0.045 0.250 0.625 (multiplicity 4)
S 0.124 0.750 0.057 (multiplicity 4)
S 0.199 0.250 0.312 (multiplicity 4)

Largest 12 diffraction maxima, in order of rising 2θ, 10° ≤ 2θ ≤ 80°:
two_theta, I (rel.), h k l
14.6, 41.1, 2 0 0
16.6, 61.4, 2 0 1
23.4, 52.8, 3 0 1
24.9, 54.4, 1 0 3
29.0, 79.3, 1 1 2
31.7, 100.0, 2 1 2
33.3, 31.6, 0 1 3
33.6, 44.0, 4 0 2
45.8, 34.8, 3 1 4
47.0, 30.4, 0 2 0
50.6, 27.0, 5 1 3
50.9, 39.6, 6 1 0

---

Record 3
YLuHg2: calculated XRD peak list (Cu Kα (weighted mean of Kα1 and Kα2)), based on a cell relaxed with PBE.
Neutral-atom scattering factors, no anomalous dispersion.

Crystal structure
Cell lengths 7.394, 7.394, 7.394 Å; angles 90.00, 90.00, 90.00 degrees
Space group Fm-3m (No. 225)
Unique sites:
Y 0.000 0.000 0.000 (multiplicity 4)
Lu 0.000 0.000 0.500 (multiplicity 4)
Hg 0.250 0.250 0.250 (multiplicity 8)

Largest 12 diffraction maxima, in order of rising 2θ, 10° ≤ 2θ ≤ 80°:
two_theta, I (rel.), h k l
20.8, 3.4, 1 1 1
24.1, 4.9, 2 0 0
34.3, 100.0, 2 2 0
40.5, 2.0, 3 1 1
42.3, 1.7, 2 2 2
49.3, 18.2, 4 0 0
54.1, 0.9, 3 3 1
55.6, 2.3, 4 2 0
61.4, 37.7, 4 2 2
72.3, 11.7, 4 4 0
76.2, 0.7, 5 3 1
77.4, 1.2, 6 0 0